Calculated X-ray diffraction stick pattern
Compound: BaGe2MoO8
Radiation: Cu Kα
Structure: a cell relaxed with PBE+U
Intensities are scaled so that the largest is 100.

Peak list (8 most intense, 10 to 90 degrees two-theta, low angle first)
two_theta	I/Imax
25.06	100
34.56	28
36.86	34
45.09	19
51.42	10
56.43	16
59.60	17
64.94	10

Unit cell a=9.213 b=9.213 c=9.213 alpha=30.69 beta=30.69 gamma=30.69
Fractional coordinates of all 12 atoms:
Ba (0.000, 0.000, 0.000)
Ge (0.237, 0.237, 0.237)
Ge (0.763, 0.763, 0.763)
Mo (0.500, 0.500, 0.500)
O (0.145, 0.455, 0.757)
O (0.243, 0.545, 0.855)
O (0.303, 0.303, 0.303)
O (0.455, 0.757, 0.145)
O (0.545, 0.855, 0.243)
O (0.697, 0.697, 0.697)
O (0.757, 0.145, 0.455)
O (0.855, 0.243, 0.545)